Entry 1:
Theoretical powder diffractogram
Compound: Sc5CdHg6
Radiation: a wavelength of 1.5418 Å
Structure: a DFT-relaxed cell (PBE, Alexandria)

Cell and atoms:
```
data_Sc5CdHg6
_space_group_name_H-M_alt 'C 1 2/m 1'
_space_group_IT_number 12
_space_group_name_Hall '-C 2y'
_cell_length_a 15.6707
_cell_length_b 7.1311
_cell_length_c 4.9301
_cell_angle_alpha 90.00
_cell_angle_beta 108.13
_cell_angle_gamma 90.00
loop_
_atom_site_label
_atom_site_fract_x
_atom_site_fract_y
_atom_site_fract_z
_atom_site_occupancy
Sc1 0.0000 0.0000 0.0000 1
Sc2 0.1599 0.5000 0.6598 1
Sc3 0.1691 0.0000 0.6689 1
Cd1 0.0000 0.5000 0.0000 1
Hg1 0.0000 0.2424 0.5000 1
Hg2 0.1699 0.2468 0.1699 1
```

Largest 10 diffraction maxima, low angle first, 2θ from 10° to 80°:
| (hkl) | 2theta | intensity |
| --- | --- | --- |
| 0 2 0 | 25.0 | 20.1 |
| 2 0 1 | 25.5 | 37.0 |
| 2 2 1 | 36.0 | 100.0 |
| 6 0 0 | 36.2 | 24.4 |
| 2 0 -2 | 36.4 | 24.3 |
| 6 2 0 | 44.5 | 9.0 |
| 2 2 -2 | 44.7 | 8.9 |
| 0 4 0 | 51.2 | 9.0 |
| 6 4 0 | 64.3 | 9.0 |
| 2 4 -2 | 64.5 | 9.0 |

***

Entry 2:
Theoretical powder diffractogram
Compound: PrMoSe3
Radiation: a wavelength of 1.5418 Å
Structure: a DFT-relaxed cell (PBE, Alexandria)

Cell and atoms:
```
data_PrMoSe3
_space_group_name_H-M_alt 'C 1 2/m 1'
_space_group_IT_number 12
_space_group_name_Hall '-C 2y'
_cell_length_a 14.7928
_cell_length_b 3.8440
_cell_length_c 8.3430
_cell_angle_alpha 90.00
_cell_angle_beta 94.24
_cell_angle_gamma 90.00
loop_
_atom_site_label
_atom_site_fract_x
_atom_site_fract_y
_atom_site_fract_z
_atom_site_occupancy
Pr1 0.1046 0.0000 0.3933 1
Mo1 0.2090 0.5000 0.8875 1
Se1 0.0580 0.5000 0.6708 1
Se2 0.1259 0.0000 0.0222 1
Se3 0.2493 0.0000 0.6772 1
```

Largest 10 diffraction maxima, low angle first, 2θ from 10° to 80°:
| (hkl) | 2theta | intensity |
| --- | --- | --- |
| 3 1 -1 | 31.0 | 70.2 |
| 1 1 -2 | 32.0 | 55.7 |
| 0 0 3 | 32.3 | 33.1 |
| 4 0 2 | 33.7 | 40.6 |
| 3 1 -2 | 35.9 | 100.0 |
| 3 1 2 | 37.5 | 54.4 |
| 5 1 0 | 38.5 | 51.0 |
| 6 0 1 | 39.0 | 37.9 |
| 1 1 -3 | 40.2 | 34.4 |
| 0 2 0 | 47.3 | 44.7 |

***

Entry 3:
Theoretical powder diffractogram
Compound: TbTm3Co
Radiation: a wavelength of 1.5418 Å
Structure: a DFT-relaxed cell (PBE, Alexandria)

Cell and atoms:
```
data_TbTm3Co
_space_group_name_H-M_alt 'I m m a'
_space_group_IT_number 74
_space_group_name_Hall '-I 2b 2'
_cell_length_a 7.7469
_cell_length_b 10.0683
_cell_length_c 7.1795
_cell_angle_alpha 90.00
_cell_angle_beta 90.00
_cell_angle_gamma 90.00
loop_
_atom_site_label
_atom_site_fract_x
_atom_site_fract_y
_atom_site_fract_z
_atom_site_occupancy
Tb1 0.0000 0.2500 0.0026 1
Tm1 0.0000 0.2500 0.4941 1
Tm2 0.2500 0.0091 0.7500 1
Co1 0.2500 0.2500 0.2500 1
```

Largest 10 diffraction maxima, low angle first, 2θ from 10° to 80°:
| (hkl) | 2theta | intensity |
| --- | --- | --- |
| 2 2 0 | 29.1 | 100.0 |
| 0 2 2 | 30.6 | 87.7 |
| 2 0 2 | 34.1 | 97.6 |
| 0 4 0 | 35.7 | 42.1 |
| 4 0 0 | 46.9 | 20.0 |
| 2 4 2 | 50.1 | 64.0 |
| 0 0 4 | 50.9 | 15.6 |
| 4 2 2 | 57.0 | 30.9 |
| 2 2 4 | 59.7 | 26.8 |
| 4 4 0 | 60.3 | 18.4 |

***

Entry 4:
Theoretical powder diffractogram
Compound: Ba2Sn4Ir3Rh
Radiation: a wavelength of 1.5418 Å
Structure: a DFT-relaxed cell (PBE, Alexandria)

Cell and atoms:
```
data_Ba2Sn4Ir3Rh
_space_group_name_H-M_alt 'P -4 m 2'
_space_group_IT_number 115
_space_group_name_Hall 'P -4 -2'
_cell_length_a 4.6873
_cell_length_b 4.6873
_cell_length_c 10.8666
_cell_angle_alpha 90.00
_cell_angle_beta 90.00
_cell_angle_gamma 90.00
loop_
_atom_site_label
_atom_site_fract_x
_atom_site_fract_y
_atom_site_fract_z
_atom_site_occupancy
Ba1 0.0000 0.5000 0.2446 1
Sn1 0.0000 0.0000 0.5000 1
Sn2 0.0000 0.5000 0.8773 1
Sn3 0.5000 0.5000 0.5000 1
Ir1 0.0000 0.0000 0.0000 1
Ir2 0.0000 0.5000 0.6266 1
Rh1 0.5000 0.5000 0.0000 1
```

Largest 10 diffraction maxima, low angle first, 2θ from 10° to 80°:
| (hkl) | 2theta | intensity |
| --- | --- | --- |
| 1 0 3 | 31.2 | 80.1 |
| 1 1 2 | 31.6 | 100.0 |
| 2 0 0 | 38.4 | 93.5 |
| 1 1 4 | 43.1 | 54.7 |
| 1 0 5 | 46.0 | 28.4 |
| 2 1 3 | 50.3 | 42.8 |
| 2 2 0 | 55.4 | 33.4 |
| 2 1 5 | 61.5 | 23.8 |
| 3 1 2 | 65.2 | 25.3 |
| 3 1 4 | 72.7 | 24.3 |

***

Entry 5:
Theoretical powder diffractogram
Compound: AcTb4Ho2
Radiation: a wavelength of 1.5418 Å
Structure: a DFT-relaxed cell (PBE, Alexandria)

Cell and atoms:
```
data_AcTb4Ho2
_space_group_name_H-M_alt 'P 1'
_space_group_IT_number 1
_space_group_name_Hall 'P 1'
_cell_length_a 6.7381
_cell_length_b 8.3221
_cell_length_c 8.8733
_cell_angle_alpha 91.66
_cell_angle_beta 99.81
_cell_angle_gamma 104.87
loop_
_atom_site_label
_atom_site_fract_x
_atom_site_fract_y
_atom_site_fract_z
_atom_site_occupancy
Ac1 0.0000 0.0000 0.0000 1
Ac2 0.4786 0.8533 0.1531 1
Tb1 0.0277 0.5101 0.0092 1
Tb2 0.1175 0.2551 0.7081 1
Tb3 0.2184 0.8345 0.7036 1
Tb4 0.3003 0.5388 0.4448 1
Tb5 0.3804 0.1423 0.4424 1
Tb6 0.6073 0.1950 0.8370 1
Tb7 0.8806 0.2022 0.3249 1
Tb8 0.9671 0.7742 0.3208 1
Ho1 0.5330 0.4108 0.1606 1
Ho2 0.5463 0.5972 0.8394 1
Ho3 0.7063 0.8952 0.5893 1
Ho4 0.8025 0.4945 0.5720 1
```

Largest 10 diffraction maxima, low angle first, 2θ from 10° to 80°:
| (hkl) | 2theta | intensity |
| --- | --- | --- |
| 1 2 -1 | 29.6 | 23.0 |
| -2 2 1 | 31.4 | 100.0 |
| 0 2 2 | 31.5 | 52.1 |
| 2 1 -1 | 32.5 | 9.0 |
| 0 3 0 | 33.5 | 7.5 |
| 1 -4 0 | 43.6 | 16.0 |
| 1 0 4 | 46.4 | 8.9 |
| -3 2 4 | 55.8 | 23.5 |
| -1 2 5 | 57.0 | 6.7 |
| -4 4 2 | 65.4 | 12.0 |

***

Entry 6:
Theoretical powder diffractogram
Compound: Ta2Au
Radiation: a wavelength of 1.5418 Å
Structure: a DFT-relaxed cell (PBE, Alexandria)

Cell and atoms:
```
data_Ta2Au
_space_group_name_H-M_alt 'P 42/m n m'
_space_group_IT_number 136
_space_group_name_Hall '-P 4n 2n'
_cell_length_a 10.1101
_cell_length_b 10.1101
_cell_length_c 5.2496
_cell_angle_alpha 90.00
_cell_angle_beta 90.00
_cell_angle_gamma 90.00
loop_
_atom_site_label
_atom_site_fract_x
_atom_site_fract_y
_atom_site_fract_z
_atom_site_occupancy
Ta1 0.0358 0.3708 0.0000 1
Ta2 0.1039 0.1039 0.0000 1
Ta3 0.1827 0.8173 0.2501 1
Au1 0.0000 0.0000 0.5000 1
Au2 0.0643 0.2675 0.5000 1
```

Largest 10 diffraction maxima, low angle first, 2θ from 10° to 80°:
| (hkl) | 2theta | intensity |
| --- | --- | --- |
| 0 0 2 | 34.2 | 22.4 |
| 4 1 0 | 36.6 | 83.1 |
| 3 3 0 | 37.8 | 37.6 |
| 2 0 2 | 38.7 | 32.1 |
| 2 1 2 | 39.7 | 63.0 |
| 4 1 1 | 40.6 | 100.0 |
| 3 3 1 | 41.6 | 48.5 |
| 5 3 2 | 64.4 | 19.1 |
| 4 1 3 | 65.5 | 24.7 |
| 7 2 0 | 67.4 | 16.6 |

***

Entry 7:
Theoretical powder diffractogram
Compound: TcAgI5
Radiation: a wavelength of 1.5418 Å
Structure: a DFT-relaxed cell (PBE, Alexandria)

Cell and atoms:
```
data_TcAgI5
_space_group_name_H-M_alt 'I m m 2'
_space_group_IT_number 44
_space_group_name_Hall 'I 2 -2'
_cell_length_a 8.1716
_cell_length_b 8.2054
_cell_length_c 11.9155
_cell_angle_alpha 90.00
_cell_angle_beta 90.00
_cell_angle_gamma 90.00
loop_
_atom_site_label
_atom_site_fract_x
_atom_site_fract_y
_atom_site_fract_z
_atom_site_occupancy
Tc1 0.0000 0.0000 0.0000 1
Ag1 0.0000 0.5000 0.9713 1
I1 0.0000 0.2466 0.1310 1
I2 0.0000 0.5000 0.7498 1
I3 0.2409 0.5000 0.3847 1
```

Largest 10 diffraction maxima, low angle first, 2θ from 10° to 80°:
| (hkl) | 2theta | intensity |
| --- | --- | --- |
| 1 0 1 | 13.1 | 100.0 |
| 2 0 0 | 21.7 | 20.9 |
| 0 1 3 | 24.9 | 19.2 |
| 2 1 1 | 25.4 | 58.3 |
| 0 2 2 | 26.4 | 57.4 |
| 1 2 3 | 33.3 | 25.1 |
| 3 0 1 | 33.8 | 11.8 |
| 1 0 5 | 39.4 | 12.4 |
| 3 2 1 | 40.4 | 18.6 |
| 2 2 4 | 43.6 | 36.1 |

***

Entry 8:
Theoretical powder diffractogram
Compound: Ge4P
Radiation: a wavelength of 1.5418 Å
Structure: a DFT-relaxed cell (PBE, Alexandria)

Cell and atoms:
```
data_Ge4P
_space_group_name_H-M_alt 'P m -3 m'
_space_group_IT_number 221
_space_group_name_Hall '-P 4 2 3'
_cell_length_a 4.7878
_cell_length_b 4.7878
_cell_length_c 4.7878
_cell_angle_alpha 90.00
_cell_angle_beta 90.00
_cell_angle_gamma 90.00
loop_
_atom_site_label
_atom_site_fract_x
_atom_site_fract_y
_atom_site_fract_z
_atom_site_occupancy
Ge1 0.0000 0.0000 0.0000 1
Ge2 0.0000 0.5000 0.5000 1
P1 0.5000 0.5000 0.5000 1
```

Largest 10 diffraction maxima, low angle first, 2θ from 10° to 80°:
| (hkl) | 2theta | intensity |
| --- | --- | --- |
| 1 0 0 | 18.5 | 4.6 |
| 1 1 0 | 26.3 | 3.6 |
| 1 1 1 | 32.4 | 100.0 |
| 2 0 0 | 37.6 | 75.2 |
| 2 1 0 | 42.2 | 1.7 |
| 2 1 1 | 46.5 | 1.3 |
| 2 2 0 | 54.2 | 50.8 |
| 3 0 0 | 57.8 | 0.8 |
| 3 1 1 | 64.6 | 40.0 |
| 2 2 2 | 67.8 | 17.0 |

***

Entry 9:
Theoretical powder diffractogram
Compound: BaCdS2
Radiation: a wavelength of 1.5418 Å
Structure: a DFT-relaxed cell (PBE, Alexandria)

Cell and atoms:
```
data_BaCdS2
_space_group_name_H-M_alt 'P n m a'
_space_group_IT_number 62
_space_group_name_Hall '-P 2ac 2n'
_cell_length_a 7.4626
_cell_length_b 4.2259
_cell_length_c 14.2638
_cell_angle_alpha 90.00
_cell_angle_beta 90.00
_cell_angle_gamma 90.00
loop_
_atom_site_label
_atom_site_fract_x
_atom_site_fract_y
_atom_site_fract_z
_atom_site_occupancy
Ba1 0.1547 0.2500 0.1404 1
Cd1 0.1733 0.7500 0.3813 1
S1 0.0771 0.2500 0.7378 1
S2 0.2361 0.7500 0.9699 1
```

Largest 10 diffraction maxima, low angle first, 2θ from 10° to 80°:
| (hkl) | 2theta | intensity |
| --- | --- | --- |
| 2 0 1 | 24.7 | 43.2 |
| 0 0 4 | 25.0 | 98.8 |
| 1 1 2 | 27.3 | 70.1 |
| 2 0 3 | 30.5 | 37.3 |
| 1 1 3 | 30.7 | 100.0 |
| 2 0 5 | 39.8 | 29.0 |
| 1 1 5 | 40.0 | 28.8 |
| 0 2 0 | 42.8 | 28.5 |
| 3 1 2 | 44.1 | 63.3 |
| 0 0 8 | 51.3 | 27.5 |

***

Entry 10:
Theoretical powder diffractogram
Compound: Pr2Pu2Sb2H
Radiation: a wavelength of 1.5418 Å
Structure: a DFT-relaxed cell (PBE, Alexandria)

Cell and atoms:
```
data_Pr2Pu2Sb2H
_space_group_name_H-M_alt 'I 4/m m m'
_space_group_IT_number 139
_space_group_name_Hall '-I 4 2'
_cell_length_a 4.5472
_cell_length_b 4.5472
_cell_length_c 17.4788
_cell_angle_alpha 90.00
_cell_angle_beta 90.00
_cell_angle_gamma 90.00
loop_
_atom_site_label
_atom_site_fract_x
_atom_site_fract_y
_atom_site_fract_z
_atom_site_occupancy
Pr1 0.0000 0.0000 0.1759 1
Pu1 0.0000 0.5000 0.0000 1
Sb1 0.0000 0.0000 0.3636 1
H1 0.0000 0.0000 0.0000 1
```

Largest 10 diffraction maxima, low angle first, 2θ from 10° to 80°:
| (hkl) | 2theta | intensity |
| --- | --- | --- |
| 0 0 2 | 10.1 | 42.6 |
| 1 1 2 | 29.6 | 100.0 |
| 0 0 6 | 30.7 | 35.7 |
| 1 0 5 | 32.3 | 17.0 |
| 1 1 4 | 34.6 | 90.2 |
| 2 0 0 | 39.6 | 50.8 |
| 2 0 6 | 51.0 | 35.2 |
| 2 2 0 | 57.3 | 17.5 |
| 3 1 2 | 65.8 | 21.4 |
| 3 1 4 | 68.7 | 25.2 |

***

Entry 11:
Theoretical powder diffractogram
Compound: U2Mo2C3
Radiation: a wavelength of 1.5418 Å
Structure: a DFT-relaxed cell (PBE, Alexandria)

Cell and atoms:
```
data_U2Mo2C3
_space_group_name_H-M_alt 'C 1 2/m 1'
_space_group_IT_number 12
_space_group_name_Hall '-C 2y'
_cell_length_a 11.5533
_cell_length_b 3.1307
_cell_length_c 5.5663
_cell_angle_alpha 90.00
_cell_angle_beta 105.47
_cell_angle_gamma 90.00
loop_
_atom_site_label
_atom_site_fract_x
_atom_site_fract_y
_atom_site_fract_z
_atom_site_occupancy
U1 0.1028 0.0000 0.3317 1
Mo1 0.1551 0.5000 0.8680 1
C1 0.0000 0.5000 0.0000 1
C2 0.2484 0.0000 0.7376 1
```

Largest 10 diffraction maxima, low angle first, 2θ from 10° to 80°:
| (hkl) | 2theta | intensity |
| --- | --- | --- |
| 2 0 1 | 26.0 | 34.7 |
| 1 1 0 | 29.6 | 24.9 |
| 4 0 -1 | 32.0 | 30.1 |
| 4 0 0 | 32.2 | 43.2 |
| 2 0 -2 | 33.0 | 57.5 |
| 1 1 1 | 35.2 | 100.0 |
| 3 1 -1 | 38.5 | 83.9 |
| 2 0 2 | 41.1 | 25.1 |
| 5 1 0 | 50.3 | 24.9 |
| 0 2 0 | 59.0 | 21.1 |

***

Entry 12:
Theoretical powder diffractogram
Compound: Nd2NiSb4Ir3
Radiation: a wavelength of 1.5418 Å
Structure: a DFT-relaxed cell (PBE, Alexandria)

Cell and atoms:
```
data_Nd2NiSb4Ir3
_space_group_name_H-M_alt 'P -4 m 2'
_space_group_IT_number 115
_space_group_name_Hall 'P -4 -2'
_cell_length_a 4.5560
_cell_length_b 4.5560
_cell_length_c 10.4570
_cell_angle_alpha 90.00
_cell_angle_beta 90.00
_cell_angle_gamma 90.00
loop_
_atom_site_label
_atom_site_fract_x
_atom_site_fract_y
_atom_site_fract_z
_atom_site_occupancy
Nd1 0.0000 0.5000 0.2390 1
Ni1 0.5000 0.5000 0.0000 1
Sb1 0.0000 0.0000 0.5000 1
Sb2 0.0000 0.5000 0.8734 1
Sb3 0.5000 0.5000 0.5000 1
Ir1 0.0000 0.0000 0.0000 1
Ir2 0.0000 0.5000 0.6254 1
```

Largest 10 diffraction maxima, low angle first, 2θ from 10° to 80°:
| (hkl) | 2theta | intensity |
| --- | --- | --- |
| 1 1 0 | 27.7 | 20.8 |
| 1 0 3 | 32.3 | 86.2 |
| 1 1 2 | 32.6 | 100.0 |
| 2 0 0 | 39.6 | 93.8 |
| 1 1 4 | 44.6 | 47.3 |
| 1 0 5 | 47.9 | 35.0 |
| 2 1 3 | 52.0 | 45.4 |
| 2 2 0 | 57.2 | 31.8 |
| 2 1 5 | 63.8 | 26.3 |
| 3 1 2 | 67.4 | 24.2 |